Y3P: computed powder diffraction line list (Cu Kα, 1.54184 Å), based on a cell relaxed with PBE.

Atomic structure:
```
Y3P
1.0
4.590 0.000 0.000
0.000 4.590 0.000
0.000 0.000 4.590
Y P
3 1
Cartesian
0.000 0.000 2.295
0.000 2.295 0.000
2.295 0.000 0.000
2.295 2.295 2.295
```

Most intense lines, 2θ = 5–70°, low angle first:
d/Å  intensity  hkl
4.590  11.5  1 0 0
3.246  10.0  1 1 0
2.650  100.0  1 1 1
2.295  49.1  2 0 0
2.053  5.6  2 1 0
1.874  4.3  2 1 1
1.623  32.4  2 2 0
1.384  37.3  3 1 1